Structure and computed powder XRD pattern of Er5Th (a DFT-relaxed cell (GGA-PBE, Alexandria); Cu Kα X-rays).
No peak broadening, texture or thermal motion is included.

Largest 8 diffraction maxima, by angle, 2θ = 10–80°:
d (Å), I_rel, index
3.102, 24, 2 0 2
2.817, 24, 4 0 -2
2.718, 100, 3 1 0
2.085, 16, 6 0 0
1.790, 13, 3 1 3
1.606, 21, 7 1 -2
1.512, 15, 4 2 -2
1.496, 11, 0 2 3

Crystal structure
abc: 12.8592 3.5871 8.3732
angles: 90.00 103.46 90.00
Space group Cm (No. 8)
One atom of each set of equivalent atoms:
1 Er 0.0000 0.0000 0.0000 x2
2 Er 0.0525 0.0000 0.6112 x2
3 Er 0.1654 0.5000 0.3379 x2
4 Er 0.2227 0.5000 0.9461 x2
5 Er 0.3310 0.0000 0.6646 x2
6 Th 0.3835 0.0000 0.2708 x2